[1]
# TlAgPdF6
Calculated powder diffractogram, Cu Ka. Input: the PBE geometry in Alexandria.
Lines closer than 0.1° are merged.

Principal peaks in the range 2θ from 10° to 90°, in order of rising 2θ:
Position (°2θ)	d/Å	intensity
18.2	4.873	10
23.0	3.869	100
29.9	2.992	80
32.7	2.736	24
44.9	2.019	66
47.0	1.934	18
52.9	1.730	16
56.7	1.623	35
67.0	1.397	15
76.6	1.243	24

Cell and atoms:
a b c (Å): 5.471 5.471 10.719
angles (deg): 90.00 90.00 90.00
Fractional coordinates of all 18 atoms:
Tl (0.000, 0.000, 0.000)
Tl (0.500, 0.500, 0.500)
Ag (0.000, 0.000, 0.684)
Ag (0.500, 0.500, 0.184)
Pd (0.000, 0.000, 0.341)
Pd (0.500, 0.500, 0.841)
F (0.167, 0.167, 0.481)
F (0.184, 0.184, 0.212)
F (0.243, 0.243, 0.835)
F (0.257, 0.743, 0.335)
F (0.316, 0.684, 0.712)
F (0.333, 0.667, 0.981)
F (0.667, 0.333, 0.981)
F (0.684, 0.316, 0.712)
F (0.743, 0.257, 0.335)
F (0.757, 0.757, 0.835)
F (0.816, 0.816, 0.212)
F (0.833, 0.833, 0.481)

[2]
# PmAg2F11
Calculated powder diffractogram, Cu Ka. Input: the PBE geometry in Alexandria.
Lines closer than 0.1° are merged.

Principal peaks in the range 2θ from 10° to 90°, in order of rising 2θ:
Position (°2θ)	d/Å	intensity
13.5	6.574	66
21.6	4.113	99
22.0	4.036	22
23.9	3.720	29
24.4	3.652	100
26.7	3.343	56
27.1	3.287	56
44.0	2.057	43
44.8	2.022	49
44.9	2.018	22

Cell and atoms:
a b c (Å): 8.492 8.492 8.492
angles (deg): 118.81 106.81 103.23
Fractional coordinates of all 28 atoms:
Pm (0.250, 0.250, 0.000)
Pm (0.750, 0.750, 0.000)
Ag (0.213, 0.703, 0.915)
Ag (0.287, 0.203, 0.490)
Ag (0.713, 0.797, 0.510)
Ag (0.787, 0.297, 0.085)
F (0.000, 0.500, 0.500)
F (0.036, 0.336, 0.112)
F (0.036, 0.981, 0.284)
F (0.158, 0.424, 0.583)
F (0.197, 0.481, 0.945)
F (0.224, 0.924, 0.888)
F (0.276, 0.164, 0.700)
F (0.303, 0.248, 0.284)
F (0.342, 0.924, 0.266)
F (0.464, 0.576, 0.300)
F (0.464, 0.748, 0.945)
F (0.500, 0.000, 0.500)
F (0.536, 0.252, 0.055)
F (0.536, 0.424, 0.700)
F (0.658, 0.076, 0.734)
F (0.697, 0.752, 0.716)
F (0.724, 0.836, 0.300)
F (0.776, 0.076, 0.112)
F (0.803, 0.519, 0.055)
F (0.842, 0.576, 0.417)
F (0.964, 0.019, 0.716)
F (0.964, 0.664, 0.888)

[3]
# PmAg2F5
Calculated powder diffractogram, Cu Ka. Input: the PBE geometry in Alexandria.
Lines closer than 0.1° are merged.

Principal peaks in the range 2θ from 10° to 90°, in order of rising 2θ:
Position (°2θ)	d/Å	intensity
27.8	3.211	44
29.2	3.058	97
29.6	3.018	100
29.8	2.998	57
38.5	2.338	17
41.2	2.192	42
42.9	2.107	30
49.3	1.848	24
53.0	1.728	28
58.6	1.576	29

Cell and atoms:
a b c (Å): 10.257 7.391 6.423
angles (deg): 90.00 90.00 90.00
Fractional coordinates of all 32 atoms:
Pm (0.008, 0.250, 0.076)
Pm (0.492, 0.750, 0.576)
Pm (0.508, 0.250, 0.424)
Pm (0.992, 0.750, 0.924)
Ag (0.169, 0.004, 0.533)
Ag (0.169, 0.496, 0.533)
Ag (0.331, 0.504, 0.033)
Ag (0.331, 0.996, 0.033)
Ag (0.669, 0.004, 0.967)
Ag (0.669, 0.496, 0.967)
Ag (0.831, 0.504, 0.467)
Ag (0.831, 0.996, 0.467)
F (0.010, 0.250, 0.435)
F (0.086, 0.538, 0.150)
F (0.086, 0.962, 0.150)
F (0.179, 0.250, 0.852)
F (0.210, 0.750, 0.811)
F (0.290, 0.250, 0.311)
F (0.321, 0.750, 0.352)
F (0.414, 0.038, 0.650)
F (0.414, 0.462, 0.650)
F (0.490, 0.750, 0.935)
F (0.510, 0.250, 0.065)
F (0.586, 0.538, 0.350)
F (0.586, 0.962, 0.350)
F (0.679, 0.250, 0.648)
F (0.710, 0.750, 0.689)
F (0.790, 0.250, 0.189)
F (0.821, 0.750, 0.148)
F (0.914, 0.038, 0.850)
F (0.914, 0.462, 0.850)
F (0.990, 0.750, 0.565)

[4]
# PmAg3F6
Calculated powder diffractogram, Cu Ka. Input: the PBE geometry in Alexandria.
Lines closer than 0.1° are merged.

Principal peaks in the range 2θ from 10° to 90°, in order of rising 2θ:
Position (°2θ)	d/Å	intensity
27.2	3.281	100
27.8	3.209	94
30.6	2.922	21
32.5	2.758	35
45.2	2.006	73
45.8	1.982	18
47.4	1.920	16
54.4	1.686	28
55.5	1.657	26
73.3	1.292	19

Cell and atoms:
a b c (Å): 6.993 6.993 3.964
angles (deg): 90.00 90.00 113.40
Fractional coordinates of all 10 atoms:
Pm (0.000, 0.000, 0.000)
Ag (0.000, 0.500, 0.500)
Ag (0.500, 0.000, 0.500)
Ag (0.500, 0.500, 0.000)
F (0.112, 0.888, 0.500)
F (0.134, 0.370, 0.000)
F (0.370, 0.134, 0.000)
F (0.630, 0.866, 0.000)
F (0.866, 0.630, 0.000)
F (0.888, 0.112, 0.500)

[5]
# PmAg3F8
Calculated powder diffractogram, Cu Ka. Input: the PBE geometry in Alexandria.
Lines closer than 0.1° are merged.

Principal peaks in the range 2θ from 10° to 90°, in order of rising 2θ:
Position (°2θ)	d/Å	intensity
15.9	5.586	2
27.7	3.225	100
32.0	2.793	23
46.0	1.975	62
54.5	1.684	43
57.1	1.613	6
67.0	1.396	9
74.0	1.281	17
76.2	1.249	9
85.1	1.140	18

Cell and atoms:
a b c (Å): 5.586 5.586 5.586
angles (deg): 90.00 90.00 90.00
Fractional coordinates of all 12 atoms:
Pm (0.000, 0.000, 0.000)
Ag (0.000, 0.500, 0.500)
Ag (0.500, 0.000, 0.500)
Ag (0.500, 0.500, 0.000)
F (0.245, 0.245, 0.245)
F (0.245, 0.245, 0.755)
F (0.245, 0.755, 0.245)
F (0.245, 0.755, 0.755)
F (0.755, 0.245, 0.245)
F (0.755, 0.245, 0.755)
F (0.755, 0.755, 0.245)
F (0.755, 0.755, 0.755)

[6]
# PmAg4F12
Calculated powder diffractogram, Cu Ka. Input: the PBE geometry in Alexandria.
Lines closer than 0.1° are merged.

Principal peaks in the range 2θ from 10° to 90°, in order of rising 2θ:
Position (°2θ)	d/Å	intensity
14.5	6.104	35
15.0	5.922	58
20.6	4.316	67
21.8	4.070	22
25.5	3.488	21
29.3	3.052	52
30.2	2.961	100
41.9	2.158	45
52.5	1.744	48
54.2	1.693	35

Cell and atoms:
a b c (Å): 7.337 7.337 7.337
angles (deg): 107.92 107.92 112.61
Fractional coordinates of all 17 atoms:
Pm (0.000, 0.000, 0.000)
Ag (0.000, 0.000, 0.500)
Ag (0.000, 0.500, 0.000)
Ag (0.500, 0.000, 0.000)
Ag (0.500, 0.500, 0.500)
F (0.040, 0.820, 0.220)
F (0.180, 0.400, 0.220)
F (0.180, 0.960, 0.780)
F (0.286, 0.286, 0.572)
F (0.286, 0.714, 0.000)
F (0.400, 0.180, 0.220)
F (0.600, 0.820, 0.780)
F (0.714, 0.286, 0.000)
F (0.714, 0.714, 0.428)
F (0.820, 0.040, 0.220)
F (0.820, 0.600, 0.780)
F (0.960, 0.180, 0.780)